(1)
This entry pairs a crystal structure of PmDyTe2O8 with its calculated X-ray diffraction stick pattern. Radiation: Cu Kα. Structure: a DFT-relaxed cell (GGA-PBE, Alexandria).
Intensities are scaled so that the largest is 100.

Crystal structure
```
PmDyTe2O8
1.0
-3.7300 3.7300 3.4500
3.7300 -3.7300 3.4500
3.7300 3.7300 -3.4500
Pm Dy Te O
1 1 2 8
direct
0.0000 0.0000 0.0000 Pm
0.7500 0.2500 0.5000 Dy
0.2500 0.7500 0.5000 Te
0.5000 0.5000 0.0000 Te
0.0503 0.3690 0.3187 O
0.0503 0.7316 0.6813 O
0.1124 0.3009 0.8115 O
0.2684 0.9497 0.3187 O
0.4893 0.3009 0.1885 O
0.6310 0.9497 0.6813 O
0.6991 0.5107 0.8115 O
0.6991 0.8876 0.1885 O
```

Top 8 peaks for 10° ≤ 2θ ≤ 80°, sorted by position:
2θ/deg	d [Å]	intensity
23.86	3.730	100
30.97	2.887	80
33.99	2.637	26
46.64	1.947	67
48.83	1.865	16
55.05	1.668	16
58.97	1.566	35
69.83	1.347	15


(2)
This entry pairs a crystal structure of PuZrHg with its calculated X-ray diffraction stick pattern. Radiation: Cu Kα. Structure: a DFT-relaxed cell (GGA-PBE, Alexandria).
Intensities are scaled so that the largest is 100.

Crystal structure
```
PuZrHg
1.0
3.1221 0.0000 0.0000
0.0000 5.3882 0.0000
-1.5449 0.0000 8.6110
Pu Zr Hg
2 2 2
direct
0.1101 0.2500 0.2236 Pu
0.8899 0.7500 0.7764 Pu
0.2220 0.7500 0.4424 Zr
0.7780 0.2500 0.5576 Zr
0.4440 0.2500 0.8866 Hg
0.5560 0.7500 0.1134 Hg
```

Top 8 peaks for 10° ≤ 2θ ≤ 80°, sorted by position:
2θ/deg	d [Å]	intensity
10.27	8.611	22
32.65	2.743	23
33.26	2.694	44
35.43	2.533	55
36.77	2.444	100
47.29	1.922	17
61.74	1.503	23
67.06	1.396	23


(3)
This entry pairs a crystal structure of Ba2BiO with its calculated X-ray diffraction stick pattern. Radiation: Cu Kα. Structure: a DFT-relaxed cell (GGA-PBE, Alexandria).
Intensities are scaled so that the largest is 100.

Crystal structure
```
Ba2BiO
1.0
7.8567 0.0000 0.0000
0.0000 13.2695 0.0000
-2.9634 0.0000 5.7901
Ba Bi O
8 4 4
direct
0.2028 0.0955 0.1193 Ba
0.2028 0.9045 0.6193 Ba
0.2972 0.4045 0.8807 Ba
0.2972 0.5955 0.3807 Ba
0.7028 0.4045 0.6193 Ba
0.7028 0.5955 0.1193 Ba
0.7972 0.0955 0.3807 Ba
0.7972 0.9045 0.8807 Ba
0.0000 0.3189 0.2500 Bi
0.0000 0.6811 0.7500 Bi
0.5000 0.1811 0.7500 Bi
0.5000 0.8189 0.2500 Bi
0.0000 0.0057 0.7500 O
0.0000 0.9943 0.2500 O
0.5000 0.4943 0.2500 O
0.5000 0.5057 0.7500 O
```

Top 8 peaks for 10° ≤ 2θ ≤ 80°, sorted by position:
2θ/deg	d [Å]	intensity
16.21	5.468	24
23.80	3.738	32
24.96	3.568	100
26.64	3.346	98
28.28	3.155	42
31.07	2.878	44
34.25	2.618	24
49.16	1.853	23


(4)
This entry pairs a crystal structure of Ba2NiSb2H4 with its calculated X-ray diffraction stick pattern. Radiation: Cu Kα. Structure: a DFT-relaxed cell (GGA-PBE, Alexandria).
Intensities are scaled so that the largest is 100.

Crystal structure
```
Ba2NiSb2H4
1.0
-3.3566 3.3566 4.1785
3.3566 -3.3566 4.1785
3.3566 3.3566 -4.1785
Ba Ni Sb H
2 1 2 4
direct
0.2500 0.7500 0.5000 Ba
0.7500 0.2500 0.5000 Ba
0.0000 0.0000 0.0000 Ni
0.3295 0.3295 0.0000 Sb
0.6705 0.6705 0.0000 Sb
0.1630 0.1630 0.3259 H
0.1630 0.8370 0.0000 H
0.8370 0.1630 0.0000 H
0.8370 0.8370 0.6741 H
```

Top 8 peaks for 10° ≤ 2θ ≤ 80°, sorted by position:
2θ/deg	d [Å]	intensity
21.26	4.178	27
26.56	3.357	100
28.46	3.136	21
34.27	2.617	35
34.87	2.573	29
37.91	2.373	39
44.36	2.042	29
61.80	1.501	18


(5)
This entry pairs a crystal structure of InSb2Pd7 with its calculated X-ray diffraction stick pattern. Radiation: Cu Kα. Structure: a DFT-relaxed cell (GGA-PBE, Alexandria).
Intensities are scaled so that the largest is 100.

Crystal structure
```
InSb2Pd7
1.0
-2.0429 2.0429 11.0114
2.0429 -2.0429 11.0114
2.0429 2.0429 -11.0114
In Sb Pd
1 2 7
direct
0.0000 0.0000 0.0000 In
0.3313 0.3313 0.0000 Sb
0.6687 0.6687 0.0000 Sb
0.0911 0.5911 0.5000 Pd
0.2500 0.7500 0.5000 Pd
0.4089 0.9089 0.5000 Pd
0.5000 0.5000 0.0000 Pd
0.5911 0.0911 0.5000 Pd
0.7500 0.2500 0.5000 Pd
0.9089 0.4089 0.5000 Pd
```

Top 8 peaks for 10° ≤ 2θ ≤ 80°, sorted by position:
2θ/deg	d [Å]	intensity
24.94	3.570	18
39.70	2.270	100
44.34	2.043	38
49.68	1.835	12
51.54	1.773	5
64.51	1.445	12
68.76	1.365	17
78.48	1.219	26


(6)
This entry pairs a crystal structure of SrAlAgF6 with its calculated X-ray diffraction stick pattern. Radiation: Cu Kα. Structure: a DFT-relaxed cell (GGA-PBE, Alexandria).
Intensities are scaled so that the largest is 100.

Crystal structure
```
SrAlAgF6
1.0
5.9376 0.0000 0.0000
-2.9688 5.1421 0.0000
0.0000 0.0000 8.7889
Sr Al Ag F
2 2 2 12
direct
0.3333 0.6667 0.2500 Sr
0.6667 0.3333 0.7500 Sr
0.3333 0.6667 0.7500 Al
0.6667 0.3333 0.2500 Al
0.0000 0.0000 0.0000 Ag
0.0000 0.0000 0.5000 Ag
0.0764 0.4101 0.6334 F
0.0764 0.6663 0.8666 F
0.3337 0.4101 0.8666 F
0.3337 0.9236 0.6334 F
0.4101 0.0764 0.1334 F
0.4101 0.3337 0.3666 F
0.5899 0.6663 0.6334 F
0.5899 0.9236 0.8666 F
0.6663 0.0764 0.3666 F
0.6663 0.5899 0.1334 F
0.9236 0.3337 0.1334 F
0.9236 0.5899 0.3666 F
```

Top 8 peaks for 10° ≤ 2θ ≤ 80°, sorted by position:
2θ/deg	d [Å]	intensity
26.68	3.341	100
30.10	2.969	42
40.66	2.219	30
51.41	1.777	31
51.76	1.766	37
53.46	1.714	17
69.27	1.357	12
77.62	1.230	10


(7)
This entry pairs a crystal structure of Ac4AuSe3 with its calculated X-ray diffraction stick pattern. Radiation: Cu Kα. Structure: a DFT-relaxed cell (GGA-PBE, Alexandria).
Intensities are scaled so that the largest is 100.

Crystal structure
```
Ac4AuSe3
1.0
9.1718 0.0000 0.0000
0.0000 12.8467 0.0000
0.0000 0.0000 4.4146
Ac Au Se
8 2 6
direct
0.0000 0.2492 0.0000 Ac
0.0000 0.7508 0.0000 Ac
0.2438 0.5000 0.5000 Ac
0.2562 0.0000 0.5000 Ac
0.5000 0.2508 0.0000 Ac
0.5000 0.7492 0.0000 Ac
0.7438 0.0000 0.5000 Ac
0.7562 0.5000 0.5000 Ac
0.0000 0.5000 0.0000 Au
0.5000 0.0000 0.0000 Au
0.0000 0.0000 0.0000 Se
0.2500 0.2500 0.5000 Se
0.2500 0.7500 0.5000 Se
0.5000 0.5000 0.0000 Se
0.7500 0.2500 0.5000 Se
0.7500 0.7500 0.5000 Se
```

Top 8 peaks for 10° ≤ 2θ ≤ 80°, sorted by position:
2θ/deg	d [Å]	intensity
27.78	3.212	51
28.06	3.180	100
39.29	2.293	21
39.89	2.260	79
48.80	1.866	22
50.15	1.819	21
65.07	1.434	20
65.50	1.425	19


(8)
This entry pairs a crystal structure of CaPr7Nd4 with its calculated X-ray diffraction stick pattern. Radiation: Cu Kα. Structure: a DFT-relaxed cell (GGA-PBE, Alexandria).
Intensities are scaled so that the largest is 100.

Crystal structure
```
CaPr7Nd4
1.0
6.4234 0.0000 0.0000
0.0132 7.4334 0.0000
3.1930 1.8248 9.1149
Ca Pr Nd
1 7 4
direct
0.0000 0.0000 0.0000 Ca
0.0000 0.5000 0.0000 Pr
0.0015 0.6630 0.3366 Pr
0.4923 0.9165 0.3376 Pr
0.4990 0.2569 0.0003 Pr
0.5010 0.7431 0.9997 Pr
0.5077 0.0835 0.6624 Pr
0.9985 0.3370 0.6634 Pr
0.0018 0.1688 0.3367 Nd
0.4988 0.5841 0.6670 Nd
0.5012 0.4159 0.3330 Nd
0.9982 0.8312 0.6633 Nd
```

Top 8 peaks for 10° ≤ 2θ ≤ 80°, sorted by position:
2θ/deg	d [Å]	intensity
29.44	3.034	100
34.03	2.635	17
34.18	2.623	34
48.95	1.861	12
49.05	1.857	18
58.08	1.588	11
58.30	1.583	22
61.13	1.516	9


(9)
This entry pairs a crystal structure of KMgAl with its calculated X-ray diffraction stick pattern. Radiation: Cu Kα. Structure: a DFT-relaxed cell (GGA-PBE, Alexandria).
Intensities are scaled so that the largest is 100.

Crystal structure
```
KMgAl
1.0
5.4243 0.0000 0.0000
0.0000 4.4837 0.0000
-1.0397 0.0000 8.7257
K Mg Al
2 2 2
direct
0.2203 0.2500 0.3483 K
0.7797 0.7500 0.6517 K
0.3539 0.2500 0.8757 Mg
0.6461 0.7500 0.1243 Mg
0.1300 0.7500 0.0266 Al
0.8700 0.2500 0.9734 Al
```

Top 8 peaks for 10° ≤ 2θ ≤ 80°, sorted by position:
2θ/deg	d [Å]	intensity
10.14	8.726	54
25.85	3.446	39
27.09	3.291	37
27.80	3.210	43
28.55	3.127	100
40.23	2.242	29
41.45	2.178	42
42.40	2.132	31


(10)
This entry pairs a crystal structure of LiSiBiO4 with its calculated X-ray diffraction stick pattern. Radiation: Cu Kα. Structure: a DFT-relaxed cell (GGA-PBE, Alexandria).
Intensities are scaled so that the largest is 100.

Crystal structure
```
LiSiBiO4
1.0
10.1529 0.0000 0.0000
-5.0765 8.7927 0.0000
0.0000 0.0000 8.2421
Li Si Bi O
8 8 8 32
direct
0.0964 0.3253 0.0000 Li
0.2288 0.9036 0.0000 Li
0.3253 0.2288 0.5000 Li
0.3333 0.6667 0.5042 Li
0.6667 0.3333 0.0042 Li
0.6747 0.7712 0.0000 Li
0.7712 0.0964 0.5000 Li
0.9036 0.6747 0.5000 Li
0.1038 0.3174 0.6229 Si
0.2136 0.8962 0.6229 Si
0.3174 0.2136 0.1229 Si
0.3333 0.6667 0.0496 Si
0.6667 0.3333 0.5496 Si
0.6826 0.7864 0.6229 Si
0.7864 0.1038 0.1229 Si
0.8962 0.6826 0.1229 Si
0.0000 0.0000 0.3532 Bi
0.0000 0.0000 0.8532 Bi
0.0247 0.4919 0.2967 Bi
0.4672 0.9753 0.2967 Bi
0.4919 0.4672 0.7967 Bi
0.5081 0.5328 0.2967 Bi
0.5328 0.0247 0.7967 Bi
0.9753 0.5081 0.7967 Bi
0.0011 0.2919 0.7877 O
0.0073 0.8297 0.0061 O
0.0584 0.7381 0.6662 O
0.1373 0.4814 0.5431 O
0.1579 0.5513 0.9903 O
0.1703 0.1776 0.0061 O
0.1776 0.0073 0.5061 O
0.2619 0.3203 0.6662 O
0.2909 0.9989 0.7877 O
0.2919 0.2909 0.2877 O
0.3203 0.0584 0.1662 O
0.3333 0.6667 0.2522 O
0.3441 0.8627 0.5431 O
0.3934 0.8421 0.9903 O
0.4487 0.6066 0.9903 O
0.4814 0.3441 0.0431 O
0.5186 0.6559 0.5431 O
0.5513 0.3934 0.4903 O
0.6066 0.1579 0.4903 O
0.6559 0.1373 0.0431 O
0.6667 0.3333 0.7522 O
0.6797 0.9416 0.6662 O
0.7081 0.7091 0.7877 O
0.7091 0.0011 0.2877 O
0.7381 0.6797 0.1662 O
0.8224 0.9927 0.0061 O
0.8297 0.8224 0.5061 O
0.8421 0.4487 0.4903 O
0.8627 0.5186 0.0431 O
0.9416 0.2619 0.1662 O
0.9927 0.1703 0.5061 O
0.9989 0.7081 0.2877 O
```

Top 8 peaks for 10° ≤ 2θ ≤ 80°, sorted by position:
2θ/deg	d [Å]	intensity
20.20	4.396	100
21.56	4.121	20
29.71	3.007	96
35.36	2.538	29
41.80	2.161	30
46.84	1.940	26
48.79	1.866	23
60.03	1.541	18


(11)
This entry pairs a crystal structure of H6S3F2 with its calculated X-ray diffraction stick pattern. Radiation: Cu Kα. Structure: a DFT-relaxed cell (GGA-PBE, Alexandria).
Intensities are scaled so that the largest is 100.

Crystal structure
```
H6S3F2
1.0
4.3763 -4.7525 0.0000
4.3763 4.7525 0.0000
-1.6217 0.0000 8.7435
H S F
12 6 4
direct
0.0077 0.1185 0.3522 H
0.1185 0.0077 0.8522 H
0.2277 0.4616 0.4327 H
0.2475 0.4470 0.1432 H
0.4470 0.2475 0.6432 H
0.4616 0.2277 0.9327 H
0.5384 0.7723 0.0673 H
0.5530 0.7525 0.3568 H
0.7525 0.5530 0.8568 H
0.7723 0.5384 0.5673 H
0.8815 0.9923 0.1478 H
0.9923 0.8815 0.6478 H
0.1539 0.8461 0.7500 S
0.1671 0.5898 0.2398 S
0.4102 0.8329 0.2602 S
0.5898 0.1671 0.7398 S
0.8329 0.4102 0.7602 S
0.8461 0.1539 0.2500 S
0.2404 0.3952 0.5266 F
0.3952 0.2404 0.0266 F
0.6048 0.7596 0.9734 F
0.7596 0.6048 0.4734 F
```

Top 8 peaks for 10° ≤ 2θ ≤ 80°, sorted by position:
2θ/deg	d [Å]	intensity
18.29	4.851	41
18.67	4.753	35
20.31	4.372	54
21.28	4.176	100
26.26	3.393	66
27.73	3.217	100
31.14	2.872	93
32.61	2.746	36


(12)
This entry pairs a crystal structure of CsAc4Pb4 with its calculated X-ray diffraction stick pattern. Radiation: Cu Kα. Structure: a DFT-relaxed cell (GGA-PBE, Alexandria).
Intensities are scaled so that the largest is 100.

Crystal structure
```
CsAc4Pb4
1.0
11.3581 0.0000 0.0000
0.0000 11.3581 0.0000
0.0000 0.0000 6.7232
Cs Ac Pb
2 8 8
direct
0.2500 0.2500 0.2500 Cs
0.7500 0.7500 0.7500 Cs
0.1175 0.6265 0.1466 Ac
0.1265 0.8825 0.6466 Ac
0.3735 0.6175 0.6466 Ac
0.3825 0.8735 0.1466 Ac
0.6175 0.1265 0.8534 Ac
0.6265 0.3825 0.3534 Ac
0.8735 0.1175 0.3534 Ac
0.8825 0.3735 0.8534 Ac
0.0720 0.5750 0.6556 Pb
0.0750 0.9280 0.1556 Pb
0.4250 0.5720 0.1556 Pb
0.4280 0.9250 0.6556 Pb
0.5720 0.0750 0.3444 Pb
0.5750 0.4280 0.8444 Pb
0.9250 0.0720 0.8444 Pb
0.9280 0.4250 0.3444 Pb
```

Top 8 peaks for 10° ≤ 2θ ≤ 80°, sorted by position:
2θ/deg	d [Å]	intensity
11.02	8.031	70
24.79	3.592	100
27.67	3.223	73
31.36	2.853	41
31.51	2.840	29
33.47	2.677	34
35.21	2.549	30
35.72	2.514	84